Entry 1:
Computed powder X-ray diffraction pattern of KEuSiS4 for CuKα, from DFT lattice parameters and positions (GGA-PBE).
Lines closer than 0.1° are merged.

Principal peaks in the range 2θ = 5–70°, sorted by position:
10.66 deg, intensity 100.0; 16.95 deg, intensity 21.3; 19.34 deg, intensity 39.6; 19.94 deg, intensity 18.4; 26.46 deg, intensity 21.6; 29.16 deg, intensity 16.0; 30.11 deg, intensity 30.0; 32.10 deg, intensity 30.9; 32.98 deg, intensity 23.0; 34.29 deg, intensity 18.2; 34.56 deg, intensity 19.9; 39.28 deg, intensity 31.2

Structural model:
```
data_KEuSiS4
_chemical_formula_sum 'K2 Eu2 Si2 S8'
_cell_length_a 6.576
_cell_length_b 6.736
_cell_length_c 8.705
_cell_angle_alpha 90.00
_cell_angle_beta 107.52
_cell_angle_gamma 90.00
_symmetry_space_group_name_H-M 'P 1'
_symmetry_Int_Tables_number 1
_symmetry_space_group_name_Hall 'P 1'
loop_
_atom_site_label
_atom_site_fract_x
_atom_site_fract_y
_atom_site_fract_z
K1 0.228 0.000 0.433
K2 0.772 0.500 0.567
Eu1 0.265 0.966 0.945
Eu2 0.735 0.466 0.055
Si1 0.283 0.516 0.177
Si2 0.717 0.016 0.823
S1 0.081 0.571 0.938
S2 0.089 0.518 0.332
S3 0.468 0.251 0.201
S4 0.481 0.244 0.776
S5 0.519 0.744 0.224
S6 0.532 0.751 0.799
S7 0.911 0.018 0.668
S8 0.919 0.071 0.062
```



Entry 2:
Computed powder X-ray diffraction pattern of K2EuSiSe5 for CuKα, from DFT lattice parameters and positions (GGA-PBE).
Lines closer than 0.1° are merged.

Principal peaks in the range 2θ = 5–70°, sorted by position:
7.45 deg, intensity 100.0; 14.97 deg, intensity 12.3; 25.88 deg, intensity 13.5; 26.76 deg, intensity 14.7; 27.88 deg, intensity 26.5; 28.62 deg, intensity 12.6; 29.40 deg, intensity 13.8; 30.58 deg, intensity 24.0; 30.78 deg, intensity 35.8; 33.40 deg, intensity 15.5; 35.20 deg, intensity 13.1; 37.14 deg, intensity 17.8

Structural model:
```
data_K2EuSiSe5
_chemical_formula_sum 'K8 Eu4 Si4 Se20'
_cell_length_a 11.879
_cell_length_b 9.969
_cell_length_c 9.060
_cell_angle_alpha 90.00
_cell_angle_beta 92.21
_cell_angle_gamma 90.00
_symmetry_space_group_name_H-M 'P 1'
_symmetry_Int_Tables_number 1
_symmetry_space_group_name_Hall 'P 1'
loop_
_atom_site_label
_atom_site_fract_x
_atom_site_fract_y
_atom_site_fract_z
K1 0.062 0.200 0.044
K2 0.062 0.300 0.544
K3 0.199 0.558 0.873
K4 0.199 0.942 0.373
K5 0.801 0.058 0.627
K6 0.801 0.442 0.127
K7 0.938 0.700 0.456
K8 0.938 0.800 0.956
Eu1 0.483 0.229 0.104
Eu2 0.483 0.271 0.604
Eu3 0.517 0.729 0.396
Eu4 0.517 0.771 0.896
Si1 0.253 0.022 0.791
Si2 0.253 0.478 0.291
Si3 0.747 0.522 0.709
Si4 0.747 0.978 0.209
Se1 0.077 0.513 0.191
Se2 0.077 0.987 0.691
Se3 0.245 0.624 0.492
Se4 0.245 0.876 0.992
Se5 0.288 0.241 0.852
Se6 0.288 0.259 0.352
Se7 0.401 0.536 0.144
Se8 0.401 0.964 0.644
Se9 0.415 0.564 0.661
Se10 0.415 0.936 0.161
Se11 0.585 0.064 0.839
Se12 0.585 0.436 0.339
Se13 0.599 0.036 0.356
Se14 0.599 0.464 0.856
Se15 0.712 0.741 0.648
Se16 0.712 0.759 0.148
Se17 0.755 0.124 0.008
Se18 0.755 0.376 0.508
Se19 0.923 0.013 0.309
Se20 0.923 0.487 0.809
```



Entry 3:
Computed powder X-ray diffraction pattern of La3Eu for CuKα, from DFT lattice parameters and positions (GGA-PBE).
Lines closer than 0.1° are merged.

Principal peaks in the range 2θ = 5–70°, sorted by position:
29.01 deg, intensity 100.0; 33.40 deg, intensity 17.3; 33.74 deg, intensity 33.6; 48.21 deg, intensity 24.6; 48.46 deg, intensity 12.1; 57.03 deg, intensity 14.9; 57.47 deg, intensity 29.0; 60.13 deg, intensity 12.6

Structural model:
```
data_La3Eu
_chemical_formula_sum 'La3 Eu1'
_cell_length_a 6.550
_cell_length_b 6.550
_cell_length_c 6.550
_cell_angle_alpha 132.14
_cell_angle_beta 132.14
_cell_angle_gamma 70.01
_symmetry_space_group_name_H-M 'P 1'
_symmetry_Int_Tables_number 1
_symmetry_space_group_name_Hall 'P 1'
loop_
_atom_site_label
_atom_site_fract_x
_atom_site_fract_y
_atom_site_fract_z
La1 0.000 0.000 0.000
La2 0.250 0.750 0.500
La3 0.750 0.250 0.500
Eu1 0.500 0.500 0.000
```



Entry 4:
Computed powder X-ray diffraction pattern of La3Eu for CuKα, from DFT lattice parameters and positions (GGA-PBE).
Lines closer than 0.1° are merged.

Principal peaks in the range 2θ = 5–70°, sorted by position:
27.26 deg, intensity 23.5; 29.90 deg, intensity 24.8; 31.16 deg, intensity 100.0; 40.90 deg, intensity 15.9; 48.17 deg, intensity 19.7; 53.88 deg, intensity 21.2; 56.23 deg, intensity 3.1; 57.74 deg, intensity 22.9; 58.49 deg, intensity 16.5; 62.12 deg, intensity 3.1; 64.99 deg, intensity 4.0; 69.11 deg, intensity 3.3

Structural model:
```
data_La3Eu
_chemical_formula_sum 'La6 Eu2'
_cell_length_a 7.556
_cell_length_b 7.556
_cell_length_c 5.977
_cell_angle_alpha 90.00
_cell_angle_beta 90.00
_cell_angle_gamma 120.00
_symmetry_space_group_name_H-M 'P 1'
_symmetry_Int_Tables_number 1
_symmetry_space_group_name_Hall 'P 1'
loop_
_atom_site_label
_atom_site_fract_x
_atom_site_fract_y
_atom_site_fract_z
La1 0.164 0.327 0.250
La2 0.164 0.836 0.250
La3 0.327 0.164 0.750
La4 0.673 0.836 0.250
La5 0.836 0.164 0.750
La6 0.836 0.673 0.750
Eu1 0.333 0.667 0.750
Eu2 0.667 0.333 0.250
```



Question: Number 2 is which compound?
Answer: K2EuSiSe5